Structure and theoretical powder X-ray diffraction pattern of Be2FeB (a crystal structure in Alexandria, relaxed with PBE; Cu Kα X-rays).

Top 12 peaks for 2θ = 15–90°, in order of rising 2θ:
- hkl 0 2 0, d = 4.675 Å, intensity 82.3
- hkl 1 1 0, d = 3.233 Å, intensity 49.9
- hkl 1 1 -1, d = 3.137 Å, intensity 100.0
- hkl 0 2 1, d = 2.741 Å, intensity 98.7
- hkl 1 3 0, d = 2.311 Å, intensity 97.0
- hkl 1 1 1, d = 1.945 Å, intensity 38.6
- hkl 0 4 1, d = 1.923 Å, intensity 46.3
- hkl 1 1 -2, d = 1.882 Å, intensity 23.9
- hkl 2 2 -1, d = 1.804 Å, intensity 48.8
- hkl 0 0 2, d = 1.692 Å, intensity 19.5
- hkl 1 3 -2, d = 1.636 Å, intensity 30.4
- hkl 1 5 -1, d = 1.630 Å, intensity 35.7

Cell and atoms:
Unit cell a=3.9135 b=9.3498 c=3.8441 alpha=90.00 beta=118.31 gamma=90.00
Space group C2/c (No. 15)
Symmetry-distinct sites (fractional):
Be: 0.1854 0.0831 0.1020 [8 per cell]
Fe: 0.0000 0.3369 0.2500 [4 per cell]
B: 0.0000 0.2489 0.7500 [4 per cell]


Structure and theoretical powder X-ray diffraction pattern of Tm2BeFe5B2 (a crystal structure in Alexandria, relaxed with PBE; Cu Kα X-rays).

Top 12 peaks for 2θ = 15–90°, in order of rising 2θ:
- hkl 2 0 0, d = 4.377 Å, intensity 31.2
- hkl 2 1 0, d = 3.915 Å, intensity 53.3
- hkl 2 0 1, d = 2.541 Å, intensity 32.9
- hkl 2 1 1, d = 2.440 Å, intensity 100.0
- hkl 2 2 1, d = 2.197 Å, intensity 18.1
- hkl 4 1 0, d = 2.123 Å, intensity 74.0
- hkl 3 1 1, d = 2.071 Å, intensity 56.9
- hkl 3 3 0, d = 2.063 Å, intensity 33.7
- hkl 3 2 1, d = 1.916 Å, intensity 15.9
- hkl 0 0 2, d = 1.560 Å, intensity 14.7
- hkl 4 1 2, d = 1.257 Å, intensity 26.0
- hkl 5 4 1, d = 1.252 Å, intensity 16.7

Cell and atoms:
Unit cell a=8.7541 b=8.7541 c=3.1199 alpha=90.00 beta=90.00 gamma=90.00
Space group P4/mbm (No. 127)
Symmetry-distinct sites (fractional):
Tm: 0.1752 0.3248 0.0000 [4 per cell]
Be: 0.0000 0.0000 0.0000 [2 per cell]
Fe: 0.0000 0.5000 0.5000 [2 per cell]
Fe: 0.0657 0.7875 0.5000 [8 per cell]
B: 0.1217 0.6217 0.0000 [4 per cell]


Structure and theoretical powder X-ray diffraction pattern of Be4GaB12 (a crystal structure in Alexandria, relaxed with PBE; Cu Kα X-rays).

Top 12 peaks for 2θ = 15–90°, in order of rising 2θ:
- hkl 0 0 1, d = 5.246 Å, intensity 69.0
- hkl 1 0 0, d = 4.675 Å, intensity 100.0
- hkl 1 1 1, d = 4.117 Å, intensity 37.2
- hkl 1 0 -1, d = 3.526 Å, intensity 58.0
- hkl 1 0 1, d = 3.453 Å, intensity 60.6
- hkl 0 1 2, d = 2.914 Å, intensity 42.1
- hkl -1 1 1, d = 2.843 Å, intensity 32.2
- hkl 1 2 1, d = 2.818 Å, intensity 39.5
- hkl 0 0 2, d = 2.623 Å, intensity 31.9
- hkl 1 2 0, d = 2.490 Å, intensity 72.6
- hkl 2 1 1, d = 2.471 Å, intensity 48.6
- hkl 0 2 0, d = 2.334 Å, intensity 38.3

Cell and atoms:
Unit cell a=5.1115 b=5.7130 c=5.9664 alpha=61.57 beta=79.86 gamma=66.09
Space group P1 (No. 1)
Symmetry-distinct sites (fractional):
Be: 0.0000 0.0000 0.0000 [1 per cell]
Be: 0.0346 0.2980 0.1531 [1 per cell]
Be: 0.4239 0.4490 0.6684 [1 per cell]
Be: 0.4910 0.0347 0.6530 [1 per cell]
Ga: 0.5158 0.9121 0.1564 [1 per cell]
B: 0.0846 0.0574 0.6210 [1 per cell]
B: 0.1000 0.7132 0.8724 [1 per cell]
B: 0.1722 0.3563 0.5114 [1 per cell]
B: 0.2263 0.6010 0.1930 [1 per cell]
B: 0.3846 0.3981 0.0258 [1 per cell]
B: 0.6118 0.4694 0.1608 [1 per cell]
B: 0.7207 0.3879 0.9096 [1 per cell]
B: 0.7516 0.2377 0.4625 [1 per cell]
B: 0.7593 0.7035 0.8959 [1 per cell]
B: 0.8309 0.3843 0.6266 [1 per cell]
B: 0.8892 0.8737 0.5842 [1 per cell]
B: 0.9420 0.6971 0.4069 [1 per cell]


Structure and theoretical powder X-ray diffraction pattern of Be2GaSnB (a crystal structure in Alexandria, relaxed with PBE; Cu Kα X-rays).

Top 12 peaks for 2θ = 15–90°, in order of rising 2θ:
- hkl 1 1 0, d = 3.174 Å, intensity 61.2
- hkl 1 0 1, d = 2.989 Å, intensity 100.0
- hkl 2 0 0, d = 2.245 Å, intensity 30.0
- hkl 0 0 2, d = 2.003 Å, intensity 10.6
- hkl 2 1 1, d = 1.795 Å, intensity 46.9
- hkl 1 1 2, d = 1.694 Å, intensity 19.9
- hkl 2 0 2, d = 1.494 Å, intensity 16.9
- hkl 3 1 0, d = 1.419 Å, intensity 12.5
- hkl 3 0 1, d = 1.402 Å, intensity 10.5
- hkl 3 2 1, d = 1.189 Å, intensity 12.6
- hkl 3 1 2, d = 1.158 Å, intensity 11.8
- hkl 2 1 3, d = 1.112 Å, intensity 10.5

Cell and atoms:
Unit cell a=4.4892 b=4.4892 c=4.0057 alpha=90.00 beta=90.00 gamma=90.00
Space group P4/mmm (No. 123)
Symmetry-distinct sites (fractional):
Be: 0.0000 0.5000 0.0000 [2 per cell]
Ga: 0.0000 0.0000 0.0000 [1 per cell]
Sn: 0.5000 0.5000 0.5000 [1 per cell]
B: 0.0000 0.0000 0.5000 [1 per cell]